Structure and simulated powder diffractogram of Rb2MnCl6 (a structure optimized by DFT (PBE); Cu Kα (λ = 1.5418 Å)).
No peak broadening, texture or thermal motion is included.

Atomic structure:
```
data_Rb2MnCl6
_symmetry_space_group_name_H-M 'F m -3 m'
_symmetry_Int_Tables_number 225
_symmetry_space_group_name_Hall '-F 4 2 3'
_cell_length_a 10.159
_cell_length_b 10.159
_cell_length_c 10.159
_cell_angle_alpha 90.00
_cell_angle_beta 90.00
_cell_angle_gamma 90.00
loop_
_atom_site_label
_atom_site_fract_x
_atom_site_fract_y
_atom_site_fract_z
Rb1 0.250 0.250 0.250
Mn1 0.000 0.000 0.000
Cl1 0.000 0.000 0.226
```

Most intense lines, 10° ≤ 2θ ≤ 80°, low angle first:
- hkl 1 1 1, 2θ 15.1, I 45
- hkl 2 2 0, 2θ 24.8, I 63
- hkl 2 2 2, 2θ 30.5, I 100
- hkl 4 0 0, 2θ 35.3, I 87
- hkl 4 4 0, 2θ 50.8, I 53
- hkl 6 2 2, 2θ 60.4, I 31

=====

Structure and simulated powder diffractogram of Rb3Mn2Cl7 (a structure optimized by DFT (PBE); Cu Kα (λ = 1.5418 Å)).
No peak broadening, texture or thermal motion is included.

Atomic structure:
```
data_Rb3Mn2Cl7
_symmetry_space_group_name_H-M 'I 4/m m m'
_symmetry_Int_Tables_number 139
_symmetry_space_group_name_Hall '-I 4 2'
_cell_length_a 4.850
_cell_length_b 4.850
_cell_length_c 35.478
_cell_angle_alpha 90.00
_cell_angle_beta 90.00
_cell_angle_gamma 90.00
loop_
_atom_site_label
_atom_site_fract_x
_atom_site_fract_y
_atom_site_fract_z
Rb1 0.000 0.000 0.000
Rb2 0.000 0.000 0.323
Mn1 0.000 0.000 0.124
Cl1 0.000 0.000 0.192
Cl2 0.000 0.000 0.500
Cl3 0.000 0.500 0.110
```

Most intense lines, 10° ≤ 2θ ≤ 80°, low angle first:
- hkl 0 0 6, 2θ 15.0, I 49
- hkl 0 0 10, 2θ 25.1, I 30
- hkl 1 1 0, 2θ 26.0, I 52
- hkl 1 0 9, 2θ 29.2, I 50
- hkl 1 1 6, 2θ 30.1, I 100
- hkl 2 0 0, 2θ 37.1, I 68

=====

Structure and simulated powder diffractogram of MnSbS2Cl (a structure optimized by DFT (PBE); Cu Kα (λ = 1.5418 Å)).
No peak broadening, texture or thermal motion is included.

Atomic structure:
```
data_MnSbS2Cl
_symmetry_space_group_name_H-M 'P n m a'
_symmetry_Int_Tables_number 62
_cell_length_a 9.572
_cell_length_b 3.822
_cell_length_c 12.367
_cell_angle_alpha 90.00
_cell_angle_beta 90.00
_cell_angle_gamma 90.00
loop_
_symmetry_equiv_pos_as_xyz
'x,y,z'
'-x,-y,-z'
'-x+1/2,-y,z+1/2'
'x+1/2,y,-z+1/2'
'x+1/2,-y+1/2,-z+1/2'
'-x+1/2,y+1/2,z+1/2'
'-x,y+1/2,-z'
'x,-y+1/2,z'
loop_
_atom_site_label
_atom_site_fract_x
_atom_site_fract_y
_atom_site_fract_z
Mn1 0.004 0.250 0.236
Sb1 0.189 0.750 0.463
S1 0.051 0.250 0.618
S2 0.246 0.250 0.324
Cl1 0.064 0.750 0.114
```

Most intense lines, 10° ≤ 2θ ≤ 80°, low angle first:
- hkl 2 0 2, 2θ 23.5, I 70
- hkl 1 1 1, 2θ 26.1, I 43
- hkl 3 0 1, 2θ 28.9, I 39
- hkl 0 1 3, 2θ 31.9, I 87
- hkl 1 1 3, 2θ 33.3, I 100
- hkl 2 1 5, 2θ 47.7, I 45

=====

Structure and simulated powder diffractogram of MnTlCl3 (a structure optimized by DFT (PBE); Cu Kα (λ = 1.5418 Å)).
No peak broadening, texture or thermal motion is included.

Atomic structure:
```
data_MnTlCl3
_symmetry_space_group_name_H-M 'P n m a'
_symmetry_Int_Tables_number 62
_cell_length_a 9.185
_cell_length_b 3.866
_cell_length_c 14.809
_cell_angle_alpha 90.00
_cell_angle_beta 90.00
_cell_angle_gamma 90.00
loop_
_symmetry_equiv_pos_as_xyz
'x,y,z'
'-x,-y,-z'
'-x+1/2,-y,z+1/2'
'x+1/2,y,-z+1/2'
'x+1/2,-y+1/2,-z+1/2'
'-x+1/2,y+1/2,z+1/2'
'-x,y+1/2,-z'
'x,-y+1/2,z'
loop_
_atom_site_label
_atom_site_fract_x
_atom_site_fract_y
_atom_site_fract_z
Mn1 0.162 0.250 0.054
Tl1 0.059 0.750 0.323
Cl1 0.017 0.250 0.903
Cl2 0.182 0.250 0.495
Cl3 0.225 0.750 0.703
```

Most intense lines, 10° ≤ 2θ ≤ 80°, low angle first:
- hkl 2 0 1, 2θ 20.2, I 48
- hkl 1 0 3, 2θ 20.4, I 100
- hkl 1 1 2, 2θ 27.8, I 49
- hkl 2 1 1, 2θ 30.8, I 89
- hkl 2 1 2, 2θ 32.6, I 51
- hkl 1 1 4, 2θ 34.9, I 48

=====

Structure and simulated powder diffractogram of MnTlCl3 (a structure optimized by DFT (PBE); Cu Kα (λ = 1.5418 Å)).
No peak broadening, texture or thermal motion is included.

Atomic structure:
```
data_MnTlCl3
_symmetry_space_group_name_H-M 'P m -3 m'
_symmetry_Int_Tables_number 221
_symmetry_space_group_name_Hall '-P 4 2 3'
_cell_length_a 5.069
_cell_length_b 5.069
_cell_length_c 5.069
_cell_angle_alpha 90.00
_cell_angle_beta 90.00
_cell_angle_gamma 90.00
loop_
_atom_site_label
_atom_site_fract_x
_atom_site_fract_y
_atom_site_fract_z
Mn1 0.000 0.000 0.000
Tl1 0.500 0.500 0.500
Cl1 0.000 0.000 0.500
```

Most intense lines, 10° ≤ 2θ ≤ 80°, low angle first:
- hkl 1 0 0, 2θ 17.5, I 24
- hkl 1 1 0, 2θ 24.8, I 100
- hkl 1 1 1, 2θ 30.5, I 53
- hkl 2 0 0, 2θ 35.4, I 55
- hkl 2 1 1, 2θ 43.7, I 46
- hkl 2 2 0, 2θ 51.0, I 37

=====

Structure and simulated powder diffractogram of MnTlCl3 (a structure optimized by DFT (PBE); Cu Kα (λ = 1.5418 Å)).
No peak broadening, texture or thermal motion is included.

Atomic structure:
```
data_MnTlCl3
_symmetry_space_group_name_H-M 'P n m a'
_symmetry_Int_Tables_number 62
_cell_length_a 7.125
_cell_length_b 10.168
_cell_length_c 7.142
_cell_angle_alpha 90.00
_cell_angle_beta 90.00
_cell_angle_gamma 90.00
loop_
_symmetry_equiv_pos_as_xyz
'x,y,z'
'-x,-y,-z'
'-x+1/2,-y,z+1/2'
'x+1/2,y,-z+1/2'
'x+1/2,-y+1/2,-z+1/2'
'-x+1/2,y+1/2,z+1/2'
'-x,y+1/2,-z'
'x,-y+1/2,z'
loop_
_atom_site_label
_atom_site_fract_x
_atom_site_fract_y
_atom_site_fract_z
Mn1 0.000 0.000 0.000
Tl1 0.014 0.250 0.500
Cl1 0.002 0.750 0.038
Cl2 0.220 0.519 0.719
```

Most intense lines, 10° ≤ 2θ ≤ 80°, low angle first:
- hkl 0 0 2, 2θ 24.9, I 100
- hkl 2 2 0, 2θ 30.6, I 59
- hkl 0 4 0, 2θ 35.3, I 22
- hkl 2 0 2, 2θ 35.6, I 40
- hkl 1 2 3, 2θ 43.9, I 40
- hkl 2 4 2, 2θ 51.0, I 27

=====

Structure and simulated powder diffractogram of MoCl4 (a structure optimized by DFT (PBE); Cu Kα (λ = 1.5418 Å)).
No peak broadening, texture or thermal motion is included.

Atomic structure:
```
data_MoCl4
_symmetry_space_group_name_H-M 'P -3 1 m'
_symmetry_Int_Tables_number 162
_symmetry_space_group_name_Hall '-P 3 2'
_cell_length_a 5.7650
_cell_length_b 5.7650
_cell_length_c 12.2347
_cell_angle_alpha 90.00
_cell_angle_beta 90.00
_cell_angle_gamma 120.00
loop_
_atom_site_label
_atom_site_fract_x
_atom_site_fract_y
_atom_site_fract_z
Mo1 0.0000 0.0000 0.0000
Mo2 0.3333 0.6667 0.5000
Cl1 0.0000 0.3214 0.8870
Cl2 0.0000 0.3254 0.3789
```

Most intense lines, 10° ≤ 2θ ≤ 80°, low angle first:
- hkl 0 0 2, 2θ 14.5, I 78
- hkl 1 0 1, 2θ 19.2, I 84
- hkl 1 0 3, 2θ 28.3, I 31
- hkl 1 1 2, 2θ 34.4, I 100
- hkl 1 1 4, 2θ 43.1, I 62
- hkl 3 0 0, 2θ 55.2, I 54

=====

Structure and simulated powder diffractogram of MoCl5 (a structure optimized by DFT (PBE); Cu Kα (λ = 1.5418 Å)).
No peak broadening, texture or thermal motion is included.

Atomic structure:
```
data_MoCl5
_symmetry_space_group_name_H-M 'P -1'
_symmetry_Int_Tables_number 2
_cell_length_a 6.468
_cell_length_b 6.952
_cell_length_c 9.497
_cell_angle_alpha 109.69
_cell_angle_beta 91.33
_cell_angle_gamma 116.76
loop_
_symmetry_equiv_pos_as_xyz
'x,y,z'
'-x,-y,-z'
loop_
_atom_site_label
_atom_site_fract_x
_atom_site_fract_y
_atom_site_fract_z
Mo1 0.105 0.215 0.214
Cl1 0.055 0.807 0.577
Cl2 0.113 0.636 0.854
Cl3 0.234 0.183 0.962
Cl4 0.293 0.012 0.238
Cl5 0.431 0.569 0.335
```

Most intense lines, 10° ≤ 2θ ≤ 80°, low angle first:
- hkl 0 1 -1, 2θ 14.8, I 100
- hkl 1 0 0, 2θ 15.7, I 56
- hkl 1 -1 0, 2θ 15.8, I 45
- hkl 1 0 -3, 2θ 31.5, I 52
- hkl 2 -2 1, 2θ 31.8, I 47
- hkl 1 1 1, 2θ 32.2, I 56